Entry 1:
Fe2Pd2Pt3: theoretical powder XRD pattern (Cu Kα), based on a crystal structure in Alexandria, relaxed with PBE.
Kinematic intensities with the Lorentz-polarization factor, no thermal factor.

Largest 10 diffraction maxima, sorted by position, 2θ from 10° to 90°:
12.27°, I 31
31.00°, I 32
32.91°, I 49
35.25°, I 27
39.71°, I 100
43.95°, I 29
45.84°, I 46
48.24°, I 48
52.50°, I 49
74.58°, I 29

Structure:
```
data_Fe2Pd2Pt3
_cell_length_a 2.720
_cell_length_b 2.721
_cell_length_c 14.485
_cell_angle_alpha 90.00
_cell_angle_beta 95.36
_cell_angle_gamma 90.00
_space_group_name_H-M_alt 'P 1'
_space_group_IT_number 1
loop_
_space_group_symop_operation_xyz
'x,y,z'
loop_
_atom_site_label
_atom_site_type_symbol
_atom_site_fract_x
_atom_site_fract_y
_atom_site_fract_z
Fe1 Fe 0.146 0.000 0.290
Fe2 Fe 0.854 0.000 0.710
Pd1 Pd 0.417 0.500 0.836
Pd2 Pd 0.583 0.500 0.164
Pt1 Pt 0.000 0.500 0.000
Pt2 Pt 0.292 0.500 0.583
Pt3 Pt 0.708 0.500 0.417
```



Entry 2:
ThTl3Cl8: theoretical powder XRD pattern (Cu Kα), based on a crystal structure in Alexandria, relaxed with PBE.
Kinematic intensities with the Lorentz-polarization factor, no thermal factor.

Largest 10 diffraction maxima, sorted by position, 2θ from 10° to 90°:
21.08°, I 100
23.74°, I 9
24.71°, I 16
34.53°, I 45
35.23°, I 22
40.19°, I 20
41.42°, I 36
42.93°, I 11
54.50°, I 16
62.78°, I 13

Structure:
```
data_ThTl3Cl8
_cell_length_a 9.065
_cell_length_b 9.065
_cell_length_c 9.065
_cell_angle_alpha 133.17
_cell_angle_beta 133.17
_cell_angle_gamma 68.39
_space_group_name_H-M_alt 'P 1'
_space_group_IT_number 1
loop_
_space_group_symop_operation_xyz
'x,y,z'
loop_
_atom_site_label
_atom_site_type_symbol
_atom_site_fract_x
_atom_site_fract_y
_atom_site_fract_z
Th1 Th 0.000 0.000 0.000
Tl1 Tl 0.250 0.750 0.500
Tl2 Tl 0.500 0.500 0.000
Tl3 Tl 0.750 0.250 0.500
Cl1 Cl 0.058 0.681 0.000
Cl2 Cl 0.170 0.170 0.520
Cl3 Cl 0.319 0.319 0.377
Cl4 Cl 0.350 0.830 0.000
Cl5 Cl 0.650 0.650 0.480
Cl6 Cl 0.681 0.058 0.000
Cl7 Cl 0.830 0.350 0.000
Cl8 Cl 0.942 0.942 0.623
```



Entry 3:
Nd3MgBi4: theoretical powder XRD pattern (Cu Kα), based on a crystal structure in Alexandria, relaxed with PBE.
Kinematic intensities with the Lorentz-polarization factor, no thermal factor.

Largest 10 diffraction maxima, sorted by position, 2θ from 10° to 90°:
13.66°, I 4
23.78°, I 15
27.52°, I 100
39.32°, I 79
46.47°, I 8
48.66°, I 29
56.82°, I 14
64.27°, I 38
71.28°, I 28
84.57°, I 9

Structure:
```
data_Nd3MgBi4
_cell_length_a 6.482
_cell_length_b 6.482
_cell_length_c 6.482
_cell_angle_alpha 90.00
_cell_angle_beta 90.00
_cell_angle_gamma 90.00
_space_group_name_H-M_alt 'P 1'
_space_group_IT_number 1
loop_
_space_group_symop_operation_xyz
'x,y,z'
loop_
_atom_site_label
_atom_site_type_symbol
_atom_site_fract_x
_atom_site_fract_y
_atom_site_fract_z
Nd1 Nd 0.000 0.000 0.500
Nd2 Nd 0.000 0.500 0.000
Nd3 Nd 0.500 0.000 0.000
Mg1 Mg 0.500 0.500 0.500
Bi1 Bi 0.000 0.000 0.000
Bi2 Bi 0.000 0.500 0.500
Bi3 Bi 0.500 0.000 0.500
Bi4 Bi 0.500 0.500 0.000
```



Entry 4:
NaPrEr: theoretical powder XRD pattern (Cu Kα), based on a crystal structure in Alexandria, relaxed with PBE.
Kinematic intensities with the Lorentz-polarization factor, no thermal factor.

Largest 10 diffraction maxima, sorted by position, 2θ from 10° to 90°:
12.24°, I 62
21.89°, I 13
30.71°, I 100
31.58°, I 94
33.98°, I 34
44.63°, I 36
55.70°, I 37
56.24°, I 18
60.77°, I 27
74.49°, I 16

Structure:
```
data_NaPrEr
_cell_length_a 5.667
_cell_length_b 5.667
_cell_length_c 7.232
_cell_angle_alpha 90.00
_cell_angle_beta 90.00
_cell_angle_gamma 120.00
_space_group_name_H-M_alt 'P 1'
_space_group_IT_number 1
loop_
_space_group_symop_operation_xyz
'x,y,z'
loop_
_atom_site_label
_atom_site_type_symbol
_atom_site_fract_x
_atom_site_fract_y
_atom_site_fract_z
Na1 Na 0.333 0.667 0.000
Na2 Na 0.667 0.333 0.000
Pr1 Pr 0.000 0.000 0.267
Pr2 Pr 0.000 0.000 0.733
Er1 Er 0.333 0.667 0.500
Er2 Er 0.667 0.333 0.500
```



Entry 5:
NdMnZn2N4: theoretical powder XRD pattern (Cu Kα), based on a crystal structure in Alexandria, relaxed with PBE.
Kinematic intensities with the Lorentz-polarization factor, no thermal factor.

Largest 10 diffraction maxima, sorted by position, 2θ from 10° to 90°:
20.86°, I 17
33.78°, I 41
34.70°, I 100
40.04°, I 11
48.52°, I 22
61.02°, I 37
62.78°, I 20
73.23°, I 9
81.03°, I 8
81.55°, I 7

Structure:
```
data_NdMnZn2N4
_cell_length_a 5.177
_cell_length_b 5.177
_cell_length_c 5.177
_cell_angle_alpha 118.33
_cell_angle_beta 118.33
_cell_angle_gamma 92.92
_space_group_name_H-M_alt 'P 1'
_space_group_IT_number 1
loop_
_space_group_symop_operation_xyz
'x,y,z'
loop_
_atom_site_label
_atom_site_type_symbol
_atom_site_fract_x
_atom_site_fract_y
_atom_site_fract_z
Nd1 Nd 0.000 0.000 0.000
Mn1 Mn 0.500 0.500 0.000
Zn1 Zn 0.250 0.750 0.500
Zn2 Zn 0.750 0.250 0.500
N1 N 0.160 0.554 0.000
N2 N 0.446 0.446 0.606
N3 N 0.554 0.160 0.000
N4 N 0.840 0.840 0.394
```



Entry 6:
Na2Ac3S3O2: theoretical powder XRD pattern (Cu Kα), based on a crystal structure in Alexandria, relaxed with PBE.
Kinematic intensities with the Lorentz-polarization factor, no thermal factor.

Largest 10 diffraction maxima, sorted by position, 2θ from 10° to 90°:
22.93°, I 100
26.62°, I 37
26.86°, I 42
29.27°, I 61
40.14°, I 44
41.87°, I 30
42.93°, I 26
48.27°, I 29
50.45°, I 30
61.52°, I 19

Structure:
```
data_Na2Ac3S3O2
_cell_length_a 13.624
_cell_length_b 13.624
_cell_length_c 13.624
_cell_angle_alpha 161.78
_cell_angle_beta 161.78
_cell_angle_gamma 25.88
_space_group_name_H-M_alt 'P 1'
_space_group_IT_number 1
loop_
_space_group_symop_operation_xyz
'x,y,z'
loop_
_atom_site_label
_atom_site_type_symbol
_atom_site_fract_x
_atom_site_fract_y
_atom_site_fract_z
Na1 Na 0.250 0.750 0.500
Na2 Na 0.750 0.250 0.500
Ac1 Ac 0.000 0.000 0.000
Ac2 Ac 0.371 0.371 0.000
Ac3 Ac 0.629 0.629 0.000
S1 S 0.114 0.114 0.000
S2 S 0.500 0.500 0.000
S3 S 0.886 0.886 0.000
O1 O 0.290 0.290 0.000
O2 O 0.710 0.710 0.000
```



Entry 7:
YMg2I6: theoretical powder XRD pattern (Cu Kα), based on a crystal structure in Alexandria, relaxed with PBE.
Kinematic intensities with the Lorentz-polarization factor, no thermal factor.

Largest 10 diffraction maxima, sorted by position, 2θ from 10° to 90°:
13.46°, I 11
22.78°, I 25
25.22°, I 100
32.21°, I 23
39.43°, I 25
41.53°, I 26
46.02°, I 19
47.38°, I 14
62.59°, I 11
63.29°, I 10

Structure:
```
data_YMg2I6
_cell_length_a 9.047
_cell_length_b 9.047
_cell_length_c 9.047
_cell_angle_alpha 51.90
_cell_angle_beta 51.90
_cell_angle_gamma 51.90
_space_group_name_H-M_alt 'P 1'
_space_group_IT_number 1
loop_
_space_group_symop_operation_xyz
'x,y,z'
loop_
_atom_site_label
_atom_site_type_symbol
_atom_site_fract_x
_atom_site_fract_y
_atom_site_fract_z
Y1 Y 0.000 0.000 0.000
Mg1 Mg 0.269 0.269 0.269
Mg2 Mg 0.394 0.394 0.394
I1 I 0.085 0.384 0.775
I2 I 0.225 0.918 0.614
I3 I 0.384 0.775 0.085
I4 I 0.614 0.225 0.918
I5 I 0.775 0.085 0.384
I6 I 0.918 0.614 0.225
```



Entry 8:
RbNbSe4: theoretical powder XRD pattern (Cu Kα), based on a crystal structure in Alexandria, relaxed with PBE.
Kinematic intensities with the Lorentz-polarization factor, no thermal factor.

Largest 10 diffraction maxima, sorted by position, 2θ from 10° to 90°:
11.76°, I 87
13.28°, I 100
28.03°, I 29
28.17°, I 41
32.91°, I 48
33.87°, I 33
35.11°, I 54
40.89°, I 58
41.34°, I 33
43.53°, I 35

Structure:
```
data_RbNbSe4
_cell_length_a 8.538
_cell_length_b 8.538
_cell_length_c 6.480
_cell_angle_alpha 100.59
_cell_angle_beta 100.59
_cell_angle_gamma 123.60
_space_group_name_H-M_alt 'P 1'
_space_group_IT_number 1
loop_
_space_group_symop_operation_xyz
'x,y,z'
loop_
_atom_site_label
_atom_site_type_symbol
_atom_site_fract_x
_atom_site_fract_y
_atom_site_fract_z
Rb1 Rb 0.149 0.851 0.750
Rb2 Rb 0.851 0.149 0.250
Nb1 Nb 0.500 0.500 0.250
Nb2 Nb 0.500 0.500 0.750
Se1 Se 0.167 0.307 0.871
Se2 Se 0.301 0.574 0.470
Se3 Se 0.307 0.167 0.371
Se4 Se 0.426 0.699 0.030
Se5 Se 0.574 0.301 0.970
Se6 Se 0.693 0.833 0.629
Se7 Se 0.699 0.426 0.530
Se8 Se 0.833 0.693 0.129
```